Record 1
The following is a calculated powder diffraction line list of LiMnF3. It was derived from the PBE+U geometry in the Materials Project, using copper Kα.

Largest 12 diffraction maxima, low angle first, 10 to 90 degrees two-theta:
d 4.830, 18.4 deg, intensity 94.9
d 3.553, 25.1 deg, intensity 33.2
d 2.862, 31.2 deg, intensity 39.6
d 2.677, 33.5 deg, intensity 34.0
d 2.127, 42.5 deg, intensity 24.2
d 2.107, 42.9 deg, intensity 100.0
d 1.997, 45.4 deg, intensity 24.2
d 1.832, 49.8 deg, intensity 51.6
d 1.615, 57.0 deg, intensity 21.2
d 1.588, 58.1 deg, intensity 22.2
d 1.514, 61.2 deg, intensity 17.4
d 1.467, 63.4 deg, intensity 18.0

Structure:
Lattice parameters (Å, degrees): 5.062 5.062 7.107 90.00 90.00 145.18
Fractional coordinates of all 10 atoms:
Li 0.000 0.000 0.000
Li 0.000 0.000 0.500
Mn 0.255 0.745 0.750
Mn 0.745 0.255 0.250
F 0.087 0.913 0.250
F 0.356 0.644 0.067
F 0.356 0.644 0.433
F 0.644 0.356 0.567
F 0.644 0.356 0.933
F 0.913 0.087 0.750

---

Record 2
The following is a calculated powder diffraction line list of Li3MnF6. It was derived from the PBE+U geometry in the Materials Project, using copper Kα.

Largest 12 diffraction maxima, low angle first, 10 to 90 degrees two-theta:
d 4.482, 19.8 deg, intensity 61.5
d 3.881, 22.9 deg, intensity 100.0
d 2.745, 32.6 deg, intensity 9.2
d 2.341, 38.5 deg, intensity 29.5
d 2.241, 40.2 deg, intensity 14.3
d 1.941, 46.8 deg, intensity 53.7
d 1.781, 51.3 deg, intensity 11.1
d 1.736, 52.7 deg, intensity 32.5
d 1.494, 62.1 deg, intensity 8.9
d 1.372, 68.4 deg, intensity 27.1
d 1.312, 72.0 deg, intensity 8.2
d 1.294, 73.1 deg, intensity 12.7

Structure:
Lattice parameters (Å, degrees): 5.489 5.489 5.489 60.00 60.00 60.00
Fractional coordinates of all 10 atoms:
Li 0.000 0.000 0.000
Li 0.250 0.250 0.250
Li 0.750 0.750 0.750
Mn 0.500 0.500 0.500
F 0.252 0.252 0.748
F 0.252 0.748 0.252
F 0.252 0.748 0.748
F 0.748 0.252 0.252
F 0.748 0.252 0.748
F 0.748 0.748 0.252

---

Record 3
The following is a calculated powder diffraction line list of Li5MnF8. It was derived from the PBE+U geometry in the Materials Project, using copper Kα.

Largest 12 diffraction maxima, low angle first, 10 to 90 degrees two-theta:
d 4.879, 18.2 deg, intensity 47.9
d 4.808, 18.5 deg, intensity 100.0
d 4.446, 20.0 deg, intensity 10.9
d 4.083, 21.8 deg, intensity 26.6
d 3.008, 29.7 deg, intensity 22.6
d 2.643, 33.9 deg, intensity 14.3
d 2.494, 36.0 deg, intensity 17.8
d 2.439, 36.8 deg, intensity 12.3
d 2.404, 37.4 deg, intensity 11.2
d 2.223, 40.6 deg, intensity 46.8
d 2.042, 44.4 deg, intensity 71.8
d 1.504, 61.7 deg, intensity 41.1

Structure:
Lattice parameters (Å, degrees): 6.037 6.037 6.037 123.49 122.20 85.14
Fractional coordinates of all 14 atoms:
Li 0.000 0.000 0.000
Li 0.000 0.000 0.500
Li 0.000 0.500 0.000
Li 0.500 0.000 0.000
Li 0.500 0.500 0.500
Mn 0.500 0.000 0.500
F 0.226 0.226 0.000
F 0.261 0.761 0.500
F 0.267 0.227 0.494
F 0.267 0.773 0.040
F 0.733 0.227 0.960
F 0.733 0.773 0.506
F 0.739 0.239 0.500
F 0.774 0.774 0.000